For Eu2MgSe4, a cell relaxed with GGA-PBE gives the computed PXRD pattern in this record (λ = 1.5418 Å (Cu Kα)).
Intensities are scaled so that the largest is 100.

```
data_Eu2MgSe4
_symmetry_space_group_name_H-M 'P 1'
_symmetry_Int_Tables_number 1
_cell_length_a 13.8754
_cell_length_b 8.1856
_cell_length_c 13.1946
_cell_angle_alpha 90.00
_cell_angle_beta 90.00
_cell_angle_gamma 90.00
loop_
_symmetry_equiv_pos_as_xyz
'x,y,z'
loop_
_atom_site_label
_atom_site_fract_x
_atom_site_fract_y
_atom_site_fract_z
Eu1 0.1087 0.1163 0.0000
Eu2 0.1269 0.6183 0.6393
Eu3 0.1358 0.3705 0.3063
Eu4 0.1373 0.8719 0.3082
Eu5 0.3627 0.8719 0.8082
Eu6 0.3642 0.3705 0.8063
Eu7 0.3731 0.6183 0.1393
Eu8 0.3913 0.1163 0.5000
Eu9 0.6087 0.8837 0.0000
Eu10 0.6269 0.3817 0.6393
Eu11 0.6358 0.6295 0.3063
Eu12 0.6373 0.1281 0.3082
Eu13 0.8627 0.1281 0.8082
Eu14 0.8642 0.6295 0.8063
Eu15 0.8731 0.3817 0.1393
Eu16 0.8913 0.8837 0.5000
Mg1 0.1097 0.6186 0.0079
Mg2 0.1258 0.1220 0.6341
Mg3 0.3742 0.1220 0.1341
Mg4 0.3903 0.6186 0.5079
Mg5 0.6097 0.3814 0.0079
Mg6 0.6258 0.8780 0.6341
Mg7 0.8742 0.8780 0.1341
Mg8 0.8903 0.3814 0.5079
Se1 0.0095 0.1179 0.1977
Se2 0.0175 0.6323 0.1880
Se3 0.0246 0.6145 0.4429
Se4 0.0388 0.1338 0.4552
Se5 0.2094 0.1208 0.8106
Se6 0.2100 0.6196 0.8395
Se7 0.2330 0.8672 0.0863
Se8 0.2338 0.3650 0.0890
Se9 0.2662 0.3650 0.5890
Se10 0.2670 0.8672 0.5863
Se11 0.2900 0.6196 0.3395
Se12 0.2906 0.1208 0.3106
Se13 0.4612 0.1338 0.9552
Se14 0.4754 0.6145 0.9429
Se15 0.4825 0.6323 0.6880
Se16 0.4905 0.1179 0.6977
Se17 0.5095 0.8821 0.1977
Se18 0.5175 0.3677 0.1880
Se19 0.5246 0.3855 0.4429
Se20 0.5388 0.8662 0.4552
Se21 0.7094 0.8792 0.8106
Se22 0.7100 0.3804 0.8395
Se23 0.7330 0.1328 0.0863
Se24 0.7338 0.6350 0.0890
Se25 0.7662 0.6350 0.5890
Se26 0.7670 0.1328 0.5863
Se27 0.7900 0.3804 0.3395
Se28 0.7906 0.8792 0.3106
Se29 0.9612 0.8662 0.9552
Se30 0.9754 0.3855 0.9429
Se31 0.9825 0.3677 0.6880
Se32 0.9905 0.8821 0.6977
```

Main lines, in order of falling intensity (2θ from 5° to 70°):
| d_spacing | I_rel | hkl |
| --- | --- | --- |
| 2.984 | 100 | 3 2 1 |
| 2.780 | 47 | 3 2 2 |
| 2.047 | 44 | 0 4 0 |
| 3.715 | 30 | 2 0 3 |
| 2.190 | 26 | 1 2 5 |
| 2.169 | 20 | 5 2 2 |
| 1.447 | 14 | 6 4 3 |
| 2.036 | 12 | 5 2 3 |
| 4.912 | 11 | 2 1 1 |
| 1.687 | 11 | 2 4 4 |